# 1
Structure and theoretical powder X-ray diffraction pattern of NdCr2B6 (a DFT-relaxed cell (GGA-PBE, the Materials Project); λ = 1.5418 Å (Cu Kα)).

Principal peaks in the range 2θ from 5° to 70°, sorted by position:
| h k l | 2θ/deg | Rel. int. |
| --- | --- | --- |
| 0 1 1 | 17.2 | 43 |
| 0 2 0 | 27.2 | 77 |
| 1 0 1 | 30.7 | 76 |
| 0 2 2 | 34.8 | 29 |
| 0 1 3 | 35.0 | 99 |
| 1 1 2 | 38.6 | 93 |
| 1 2 1 | 41.5 | 100 |
| 0 3 3 | 53.2 | 32 |
| 1 1 4 | 54.8 | 49 |
| 1 3 2 | 55.9 | 27 |

Cell and atoms:
a = 3.1062 Å, b = 6.5669 Å, c = 8.3468 Å
α = 90.00°, β = 90.00°, γ = 90.00°
Space group Immm (No. 71)
Inequivalent atoms, fractional coordinates:
Nd 0.0000 0.0000 0.0000 [2 per cell]
Cr 0.0000 0.5000 0.1538 [4 per cell]
B 0.0000 0.1394 0.5000 [4 per cell]
B 0.0000 0.2355 0.3025 [8 per cell]



# 2
Structure and theoretical powder X-ray diffraction pattern of Cr3NiB6 (a DFT-relaxed cell (GGA-PBE, the Materials Project); λ = 1.5418 Å (Cu Kα)).

Principal peaks in the range 2θ from 5° to 70°, sorted by position:
| h k l | 2θ/deg | Rel. int. |
| --- | --- | --- |
| 0 0 2 | 9.9 | 15 |
| 0 1 1 | 30.3 | 39 |
| 1 0 4 | 36.5 | 91 |
| 0 0 8 | 40.5 | 28 |
| 1 1 1 | 43.3 | 14 |
| 1 1 3 | 45.8 | 100 |
| 0 1 7 | 46.9 | 61 |
| 1 0 10 | 60.7 | 14 |
| 0 2 0 | 62.1 | 17 |
| 2 0 0 | 62.9 | 16 |

Cell and atoms:
a = 2.9566 Å, b = 2.9894 Å, c = 17.8216 Å
α = 90.00°, β = 90.00°, γ = 90.00°
Space group Amm2 (No. 38)
Inequivalent atoms, fractional coordinates:
Cr 0.0000 0.0000 0.0000 [2 per cell]
Cr 0.0000 0.0000 0.2755 [2 per cell]
Cr 0.5000 0.0000 0.1428 [2 per cell]
Ni 0.5000 0.0000 0.8698 [2 per cell]
B 0.0000 0.0000 0.3977 [2 per cell]
B 0.0000 0.0000 0.5957 [2 per cell]
B 0.0000 0.0000 0.6929 [2 per cell]
B 0.5000 0.0000 0.4510 [2 per cell]
B 0.5000 0.0000 0.5474 [2 per cell]
B 0.5000 0.0000 0.7470 [2 per cell]



# 3
Structure and theoretical powder X-ray diffraction pattern of Cr2Ni3B6 (a DFT-relaxed cell (GGA-PBE, the Materials Project); λ = 1.5418 Å (Cu Kα)).

Principal peaks in the range 2θ from 5° to 70°, sorted by position:
| h k l | 2θ/deg | Rel. int. |
| --- | --- | --- |
| 0 0 2 | 8.8 | 19 |
| 1 0 2 | 31.7 | 38 |
| 0 1 5 | 37.7 | 90 |
| 0 0 10 | 45.0 | 22 |
| 1 1 3 | 45.5 | 100 |
| 1 0 8 | 47.6 | 59 |
| 1 1 7 | 54.3 | 11 |
| 0 1 11 | 59.4 | 12 |
| 0 2 0 | 62.8 | 16 |
| 2 0 0 | 63.2 | 16 |

Cell and atoms:
a = 2.9421 Å, b = 2.9586 Å, c = 20.1290 Å
α = 90.00°, β = 90.00°, γ = 90.00°
Space group Amm2 (No. 38)
Inequivalent atoms, fractional coordinates:
Cr 0.0000 0.0000 0.0000 [2 per cell]
Cr 0.0000 0.0000 0.3836 [2 per cell]
Ni 0.0000 0.0000 0.7660 [2 per cell]
Ni 0.5000 0.0000 0.1895 [2 per cell]
Ni 0.5000 0.0000 0.5823 [2 per cell]
B 0.0000 0.0000 0.1088 [2 per cell]
B 0.0000 0.0000 0.6594 [2 per cell]
B 0.5000 0.0000 0.2950 [2 per cell]
B 0.5000 0.0000 0.4740 [2 per cell]
B 0.5000 0.0000 0.8404 [2 per cell]
B 0.5000 0.0000 0.9262 [2 per cell]



# 4
Structure and theoretical powder X-ray diffraction pattern of Cr2B3Os (a DFT-relaxed cell (GGA-PBE, the Materials Project); λ = 1.5418 Å (Cu Kα)).

Principal peaks in the range 2θ from 5° to 70°, sorted by position:
| h k l | 2θ/deg | Rel. int. |
| --- | --- | --- |
| 0 0 1 | 5.1 | 77 |
| 1 0 0 | 20.8 | 43 |
| 1 0 -3 | 25.8 | 56 |
| 0 0 6 | 30.9 | 70 |
| 1 1 0 | 37.4 | 100 |
| 1 1 -3 | 40.5 | 73 |
| 1 1 3 | 40.6 | 84 |
| 0 1 6 | 44.1 | 89 |
| 2 0 -3 | 45.2 | 49 |
| 2 0 3 | 45.5 | 47 |

Cell and atoms:
a = 4.2638 Å, b = 2.9179 Å, c = 17.3783 Å
α = 90.00°, β = 90.45°, γ = 90.00°
Space group Pm (No. 6)
Inequivalent atoms, fractional coordinates:
Cr 0.0000 0.0000 0.0000 [1 per cell]
Cr 0.0008 0.0000 0.3291 [1 per cell]
Cr 0.0111 0.0000 0.6706 [1 per cell]
Cr 0.5102 0.5000 0.2901 [1 per cell]
Cr 0.5118 0.5000 0.9583 [1 per cell]
Cr 0.7330 0.0000 0.1742 [1 per cell]
Cr 0.7342 0.0000 0.8435 [1 per cell]
Cr 0.7425 0.0000 0.5006 [1 per cell]
B 0.0069 0.5000 0.5737 [1 per cell]
B 0.0071 0.5000 0.9111 [1 per cell]
B 0.0088 0.5000 0.2407 [1 per cell]
B 0.2239 0.0000 0.5518 [1 per cell]
B 0.2313 0.0000 0.8913 [1 per cell]
B 0.2334 0.0000 0.2206 [1 per cell]
B 0.5239 0.0000 0.0516 [1 per cell]
B 0.5242 0.0000 0.7220 [1 per cell]
B 0.5258 0.0000 0.3822 [1 per cell]
B 0.7380 0.5000 0.0750 [1 per cell]
B 0.7388 0.5000 0.4051 [1 per cell]
B 0.7449 0.5000 0.7436 [1 per cell]
Os 0.2308 0.5000 0.4503 [1 per cell]
Os 0.2333 0.5000 0.1222 [1 per cell]
Os 0.2371 0.5000 0.7947 [1 per cell]
Os 0.5160 0.5000 0.6224 [1 per cell]